# Mo2P3O11
Computed XRD peak list, a wavelength of 1.5418 Å. Input: a crystal structure in Alexandria, relaxed with GGA+U.
Peak positions follow from Bragg's law for the DFT cell and can differ from measured ones.

Top 8 peaks for 10 to 90 degrees two-theta, by angle:
2theta	I (rel.)
14.33	97.4
18.61	100.0
24.15	30.8
26.68	20.1
29.31	75.9
32.35	22.0
32.78	32.1
37.67	23.4

Atomic structure:
```
data_Mo2P3O11
_chemical_formula_sum 'Mo8 P12 O44'
_cell_length_a 12.159
_cell_length_b 8.873
_cell_length_c 9.211
_cell_angle_alpha 90.00
_cell_angle_beta 114.42
_cell_angle_gamma 90.00
_space_group_name_H-M_alt 'C 1 2 1'
_space_group_IT_number 5
loop_
_space_group_symop_operation_xyz
'x,y,z'
'-x,y,-z'
'x+1/2,y+1/2,z'
'-x+1/2,y+1/2,-z'
loop_
_atom_site_label
_atom_site_type_symbol
_atom_site_fract_x
_atom_site_fract_y
_atom_site_fract_z
Mo1 Mo 0.121 0.000 0.289
Mo2 Mo 0.127 0.520 0.791
P1 P 0.000 0.722 0.000
P2 P 0.000 0.799 0.500
P3 P 0.107 0.326 0.462
P4 P 0.108 0.199 0.968
O1 O 0.000 0.253 0.500
O2 O 0.000 0.275 0.000
O3 O 0.051 0.091 0.826
O4 O 0.051 0.433 0.322
O5 O 0.075 0.825 0.145
O6 O 0.080 0.710 0.645
O7 O 0.086 0.904 0.456
O8 O 0.090 0.628 0.964
O9 O 0.174 0.193 0.429
O10 O 0.182 0.324 0.944
O11 O 0.183 0.106 0.124
O12 O 0.191 0.410 0.618
```